PrMnSe2O8: theoretical powder XRD pattern (λ = 1.5418 Å (Cu Kα)), based on a crystal structure in Alexandria, relaxed with PBE+U.
No peak broadening, texture or thermal motion is included.

Structure:
```
data_PrMnSe2O8
_chemical_formula_sum 'Pr1 Mn1 Se2 O8'
_symmetry_space_group_name_H-M 'P -3 m 1'
_symmetry_Int_Tables_number 164
_symmetry_space_group_name_Hall '-P 3 2"'
_cell_length_a 5.6132
_cell_length_b 5.6132
_cell_length_c 7.0220
_cell_angle_alpha 90.00
_cell_angle_beta 90.00
_cell_angle_gamma 120.00
loop_
_atom_site_label
_atom_site_type_symbol
_atom_site_fract_x
_atom_site_fract_y
_atom_site_fract_z
_atom_site_occupancy
Pr1 Pr 0.0000 0.0000 0.0000 1
Mn1 Mn 0.0000 0.0000 0.5000 1
Se1 Se 0.3333 0.6667 0.2232 1
O1 O 0.1581 0.3162 0.2825 1
O2 O 0.3333 0.6667 0.9836 1
```

The 10 most intense peaks (2θ from 10° to 90°), in order of rising 2θ:
d 7.022, I 33, (0 0 1)
d 4.861, I 45, (1 0 0)
d 3.997, I 100, (0 1 1)
d 2.846, I 83, (0 1 2)
d 2.807, I 91, (1 1 0)
d 2.606, I 27, (1 1 1)
d 2.109, I 23, (1 0 3)
d 1.998, I 50, (2 0 2)
d 1.778, I 22, (1 2 1)
d 1.628, I 36, (1 2 2)